[1]
Computed powder XRD pattern
Compound: CsTlCu2Br8
Radiation: a wavelength of 1.5418 Å
Structure: DFT lattice parameters and positions (PBE)

Structural model:
abc: 11.0743 11.0743 11.0743
angles: 35.96 35.96 35.96
Fractional positions:
Cs 0.0000 0.0000 0.0000
Tl 0.5000 0.5000 0.5000
Cu 0.2472 0.2472 0.2472
Cu 0.7528 0.7528 0.7528
Br 0.1145 0.4385 0.7668
Br 0.2332 0.5615 0.8855
Br 0.3232 0.3232 0.3232
Br 0.4385 0.7668 0.1145
Br 0.5615 0.8855 0.2332
Br 0.6768 0.6768 0.6768
Br 0.7668 0.1145 0.4385
Br 0.8855 0.2332 0.5615

Peak list (6 most intense, 2θ = 5–70°, sorted by position)
2theta	d [Å]	Rel. int.
18.85	4.707	96
26.07	3.418	83
27.48	3.246	52
31.37	2.852	100
43.89	2.063	48
45.99	1.974	66

---

[2]
Computed powder XRD pattern
Compound: Cs2MnSn
Radiation: a wavelength of 1.5418 Å
Structure: DFT lattice parameters and positions (PBE)

Structural model:
abc: 14.6705 14.6705 5.1451
angles: 90.00 90.00 90.00
Fractional positions:
Cs 0.0000 0.0000 0.0000
Cs 0.0000 0.5000 0.0000
Cs 0.2500 0.2500 0.7500
Cs 0.2500 0.7500 0.2500
Cs 0.5000 0.0000 0.5000
Cs 0.5000 0.5000 0.5000
Cs 0.7500 0.2500 0.7500
Cs 0.7500 0.7500 0.2500
Mn 0.0000 0.2500 0.8750
Mn 0.0000 0.7500 0.1250
Mn 0.5000 0.2500 0.6250
Mn 0.5000 0.7500 0.3750
Sn 0.0000 0.2500 0.3750
Sn 0.0000 0.7500 0.6250
Sn 0.5000 0.2500 0.1250
Sn 0.5000 0.7500 0.8750

Peak list (6 most intense, 2θ = 5–70°, sorted by position)
2theta	d [Å]	Rel. int.
12.07	7.335	82
21.95	4.049	81
24.27	3.668	100
27.96	3.191	45
34.59	2.593	40
44.77	2.024	27

---

- Which formula does entry 1 have?
  CsTlCu2Br8